(1)
The following is a calculated X-ray powder pattern of Sr3Zn2Rh2. It was derived from a crystal structure in Alexandria, relaxed with PBE, using Cu Kα (weighted mean of Kα1 and Kα2).
Intensities are scaled so that the largest is 100.

Atomic structure:
```
data_Sr3Zn2Rh2
_chemical_formula_sum 'Sr12 Zn8 Rh8'
_space_group_name_H-M_alt 'P b c m'
_space_group_IT_number 57
_space_group_name_Hall '-P 2c 2b'
_cell_length_a 6.0464
_cell_length_b 8.2139
_cell_length_c 14.2452
_cell_angle_alpha 90.00
_cell_angle_beta 90.00
_cell_angle_gamma 90.00
loop_
_atom_site_label
_atom_site_type_symbol
_atom_site_fract_x
_atom_site_fract_y
_atom_site_fract_z
Sr1 Sr 0.1278 0.2474 0.2500
Sr2 Sr 0.3559 0.6035 0.5963
Zn1 Zn 0.0994 0.2500 0.0000
Zn2 Zn 0.3308 0.5891 0.2500
Rh1 Rh 0.1394 0.5279 0.0911
```

Most intense lines, 2θ = 5–70°, in order of rising 2θ:
| h k l | 2θ (°) | I_rel |
| --- | --- | --- |
| 1 0 0 | 14.65 | 20 |
| 1 1 1 | 19.26 | 24 |
| 1 1 4 | 31.11 | 25 |
| 2 1 0 | 31.53 | 33 |
| 1 2 3 | 32.40 | 29 |
| 0 2 4 | 33.30 | 37 |
| 1 3 0 | 36.01 | 50 |
| 1 2 4 | 36.56 | 37 |
| 2 1 3 | 36.91 | 100 |
| 0 0 6 | 37.90 | 30 |
| 1 4 0 | 46.71 | 21 |
| 1 5 3 | 61.68 | 19 |

***

(2)
The following is a calculated X-ray powder pattern of TaRh. It was derived from a crystal structure in Alexandria, relaxed with PBE, using Cu Kα (weighted mean of Kα1 and Kα2).
Intensities are scaled so that the largest is 100.

Atomic structure:
```
data_TaRh
_chemical_formula_sum 'Ta8 Rh8'
_space_group_name_H-M_alt 'P 4/m n c'
_space_group_IT_number 128
_space_group_name_Hall '-P 4 2n'
_cell_length_a 7.9013
_cell_length_b 7.9013
_cell_length_c 4.4043
_cell_angle_alpha 90.00
_cell_angle_beta 90.00
_cell_angle_gamma 90.00
loop_
_atom_site_label
_atom_site_type_symbol
_atom_site_fract_x
_atom_site_fract_y
_atom_site_fract_z
Ta1 Ta 0.0294 0.3084 0.0000
Rh1 Rh 0.1199 0.7895 0.5000
```

Most intense lines, 2θ = 5–70°, in order of rising 2θ:
| h k l | 2θ (°) | I_rel |
| --- | --- | --- |
| 1 1 0 | 15.86 | 18 |
| 2 2 0 | 32.04 | 30 |
| 2 1 1 | 32.49 | 26 |
| 3 0 1 | 39.88 | 100 |
| 0 0 2 | 40.98 | 37 |
| 3 2 0 | 41.19 | 10 |
| 3 1 1 | 41.55 | 48 |
| 3 3 0 | 48.91 | 18 |
| 2 2 2 | 52.94 | 15 |
| 4 3 0 | 58.40 | 7 |
| 3 3 2 | 65.66 | 15 |
| 5 2 1 | 67.26 | 22 |

***

(3)
The following is a calculated X-ray powder pattern of Ta4Rh3. It was derived from a crystal structure in Alexandria, relaxed with PBE, using Cu Kα (weighted mean of Kα1 and Kα2).
Intensities are scaled so that the largest is 100.

Atomic structure:
```
data_Ta4Rh3
_chemical_formula_sum 'Ta4 Rh3'
_space_group_name_H-M_alt 'P 6/m m m'
_space_group_IT_number 191
_space_group_name_Hall '-P 6 2'
_cell_length_a 5.1690
_cell_length_b 5.1690
_cell_length_c 4.9987
_cell_angle_alpha 90.00
_cell_angle_beta 90.00
_cell_angle_gamma 120.00
loop_
_atom_site_label
_atom_site_type_symbol
_atom_site_fract_x
_atom_site_fract_y
_atom_site_fract_z
Ta1 Ta 0.0000 0.0000 0.2480
Ta2 Ta 0.3333 0.6667 0.0000
Rh1 Rh 0.0000 0.5000 0.5000
```

Most intense lines, 2θ = 5–70°, in order of rising 2θ:
| h k l | 2θ (°) | I_rel |
| --- | --- | --- |
| 1 0 0 | 19.83 | 4 |
| 1 0 1 | 26.73 | 3 |
| 1 1 0 | 34.71 | 73 |
| 0 0 2 | 35.93 | 6 |
| 1 1 1 | 39.24 | 62 |
| 2 0 0 | 40.29 | 32 |
| 1 0 2 | 41.37 | 100 |
| 2 0 1 | 44.34 | 48 |
| 2 0 2 | 55.08 | 5 |
| 3 0 0 | 62.22 | 14 |
| 3 0 1 | 65.25 | 14 |
| 2 1 2 | 66.77 | 61 |

***

(4)
The following is a calculated X-ray powder pattern of TaRh2. It was derived from a crystal structure in Alexandria, relaxed with PBE, using Cu Kα (weighted mean of Kα1 and Kα2).
Intensities are scaled so that the largest is 100.

Atomic structure:
```
data_TaRh2
_chemical_formula_sum 'Ta8 Rh16'
_space_group_name_H-M_alt 'I 41/a m d'
_space_group_IT_number 141
_cell_length_a 3.8866
_cell_length_b 3.8866
_cell_length_c 24.2497
_cell_angle_alpha 90.00
_cell_angle_beta 90.00
_cell_angle_gamma 90.00
loop_
_space_group_symop_operation_xyz
'x,y,z'
'-x,-y,-z'
'-y+1/4,x+3/4,z+1/4'
'y+1/4,-x+3/4,-z+1/4'
'-x+1/2,-y,z+1/2'
'x+1/2,y,-z+1/2'
'y+1/4,-x+1/4,z+3/4'
'-y+1/4,x+1/4,-z+3/4'
'x,-y,-z'
'-x,y,z'
'-y+1/4,-x+1/4,-z+3/4'
'y+1/4,x+1/4,z+3/4'
'-x+1/2,y,-z+1/2'
'x+1/2,-y,z+1/2'
'y+1/4,x+3/4,-z+1/4'
'-y+1/4,-x+3/4,z+1/4'
'x+1/2,y+1/2,z+1/2'
'-x+1/2,-y+1/2,-z+1/2'
'-y+3/4,x+1/4,z+3/4'
'y+3/4,-x+1/4,-z+3/4'
'-x,-y+1/2,z'
'x,y+1/2,-z'
'y+3/4,-x+3/4,z+1/4'
'-y+3/4,x+3/4,-z+1/4'
'x+1/2,-y+1/2,-z+1/2'
'-x+1/2,y+1/2,z+1/2'
'-y+3/4,-x+3/4,-z+1/4'
'y+3/4,x+3/4,z+1/4'
'-x,y+1/2,-z'
'x,-y+1/2,z'
'y+3/4,x+1/4,-z+3/4'
'-y+3/4,-x+1/4,z+3/4'
loop_
_atom_site_label
_atom_site_type_symbol
_atom_site_fract_x
_atom_site_fract_y
_atom_site_fract_z
Ta1 Ta 0.0000 0.2500 0.2979
Rh1 Rh 0.0000 0.2500 0.1257
Rh2 Rh 0.0000 0.2500 0.7916
```

Most intense lines, 2θ = 5–70°, in order of rising 2θ:
| h k l | 2θ (°) | I_rel |
| --- | --- | --- |
| 1 0 1 | 23.18 | 6 |
| 0 0 8 | 29.46 | 3 |
| 1 1 2 | 33.43 | 2 |
| 1 0 7 | 34.69 | 3 |
| 1 1 6 | 39.66 | 100 |
| 0 0 12 | 44.85 | 16 |
| 2 0 0 | 46.74 | 32 |
| 2 0 8 | 56.23 | 2 |
| 2 1 7 | 59.50 | 2 |
| 1 1 14 | 63.48 | 2 |
| 2 0 12 | 66.78 | 20 |
| 2 2 0 | 68.25 | 10 |

***

(5)
The following is a calculated X-ray powder pattern of TaRh2. It was derived from a crystal structure in Alexandria, relaxed with PBE, using Cu Kα (weighted mean of Kα1 and Kα2).
Intensities are scaled so that the largest is 100.

Atomic structure:
```
data_TaRh2
_chemical_formula_sum 'Ta4 Rh8'
_space_group_name_H-M_alt 'C 1 2/c 1'
_space_group_IT_number 15
_space_group_name_Hall '-C 2yc'
_cell_length_a 8.2556
_cell_length_b 4.9691
_cell_length_c 5.5956
_cell_angle_alpha 90.00
_cell_angle_beta 126.11
_cell_angle_gamma 90.00
loop_
_atom_site_label
_atom_site_type_symbol
_atom_site_fract_x
_atom_site_fract_y
_atom_site_fract_z
Ta1 Ta 0.0000 0.1196 0.2500
Rh1 Rh 0.1730 0.3984 0.7549
```

Most intense lines, 2θ = 5–70°, in order of rising 2θ:
| h k l | 2θ (°) | I_rel |
| --- | --- | --- |
| 1 1 0 | 22.31 | 9 |
| 1 1 -1 | 24.01 | 10 |
| 3 1 -1 | 37.57 | 56 |
| 0 0 2 | 39.88 | 59 |
| 3 1 -2 | 40.75 | 65 |
| 0 2 1 | 41.47 | 100 |
| 3 1 0 | 44.65 | 52 |
| 3 1 -3 | 52.69 | 21 |
| 3 1 1 | 59.08 | 15 |
| 3 3 -1 | 65.95 | 20 |
| 3 3 -2 | 68.14 | 5 |
| 6 0 -2 | 68.72 | 11 |

***

(6)
The following is a calculated X-ray powder pattern of TaRh. It was derived from a crystal structure in Alexandria, relaxed with PBE, using Cu Kα (weighted mean of Kα1 and Kα2).
Intensities are scaled so that the largest is 100.

Atomic structure:
```
data_TaRh
_chemical_formula_sum 'Ta4 Rh4'
_space_group_name_H-M_alt 'C 1 2/m 1'
_space_group_IT_number 12
_space_group_name_Hall '-C 2y'
_cell_length_a 9.3474
_cell_length_b 2.8730
_cell_length_c 4.8877
_cell_angle_alpha 90.00
_cell_angle_beta 99.72
_cell_angle_gamma 90.00
loop_
_atom_site_label
_atom_site_type_symbol
_atom_site_fract_x
_atom_site_fract_y
_atom_site_fract_z
Ta1 Ta 0.1184 0.0000 0.3342
Rh1 Rh 0.1286 0.5000 0.8460
```

Most intense lines, 2θ = 5–70°, in order of rising 2θ:
| h k l | 2θ (°) | I_rel |
| --- | --- | --- |
| 2 0 1 | 28.99 | 8 |
| 1 1 0 | 32.65 | 7 |
| 0 0 2 | 37.33 | 11 |
| 1 1 1 | 38.58 | 100 |
| 4 0 0 | 39.14 | 93 |
| 3 1 -1 | 45.10 | 66 |
| 2 0 2 | 45.34 | 26 |
| 0 2 0 | 64.91 | 12 |
| 5 1 1 | 65.86 | 33 |
| 6 0 -2 | 66.45 | 9 |
| 1 1 3 | 69.27 | 8 |
| 3 1 -3 | 69.49 | 7 |

***

(7)
The following is a calculated X-ray powder pattern of Ta2Rh3. It was derived from a crystal structure in Alexandria, relaxed with PBE, using Cu Kα (weighted mean of Kα1 and Kα2).
Intensities are scaled so that the largest is 100.

Atomic structure:
```
data_Ta2Rh3
_chemical_formula_sum 'Ta16 Rh24'
_space_group_name_H-M_alt 'F d d 2'
_space_group_IT_number 43
_space_group_name_Hall 'F 2 -2d'
_cell_length_a 9.4987
_cell_length_b 13.2827
_cell_length_c 5.0003
_cell_angle_alpha 90.00
_cell_angle_beta 90.00
_cell_angle_gamma 90.00
loop_
_atom_site_label
_atom_site_type_symbol
_atom_site_fract_x
_atom_site_fract_y
_atom_site_fract_z
Ta1 Ta 0.0403 0.1958 0.0000
Rh1 Rh 0.0000 0.0000 0.0639
Rh2 Rh 0.0552 0.1019 0.5388
```

Most intense lines, 2θ = 5–70°, in order of rising 2θ:
| h k l | 2θ (°) | I_rel |
| --- | --- | --- |
| 1 3 1 | 28.52 | 9 |
| 3 1 1 | 34.19 | 14 |
| 4 0 0 | 37.89 | 15 |
| 3 3 1 | 39.35 | 34 |
| 1 5 1 | 39.57 | 100 |
| 4 2 0 | 40.34 | 35 |
| 2 0 2 | 40.79 | 68 |
| 2 2 2 | 43.10 | 20 |
| 3 5 1 | 48.28 | 29 |
| 5 3 1 | 55.77 | 10 |
| 1 3 3 | 60.11 | 9 |
| 1 5 3 | 67.01 | 17 |

***

(8)
The following is a calculated X-ray powder pattern of Ta8Rh. It was derived from a crystal structure in Alexandria, relaxed with PBE, using Cu Kα (weighted mean of Kα1 and Kα2).
Intensities are scaled so that the largest is 100.

Atomic structure:
```
data_Ta8Rh
_chemical_formula_sum 'Ta16 Rh2'
_space_group_name_H-M_alt 'I 4/m m m'
_space_group_IT_number 139
_space_group_name_Hall '-I 4 2'
_cell_length_a 9.7700
_cell_length_b 9.7700
_cell_length_c 3.3424
_cell_angle_alpha 90.00
_cell_angle_beta 90.00
_cell_angle_gamma 90.00
loop_
_atom_site_label
_atom_site_type_symbol
_atom_site_fract_x
_atom_site_fract_y
_atom_site_fract_z
Ta1 Ta 0.0000 0.3318 0.0000
Ta2 Ta 0.1651 0.1651 0.5000
Rh1 Rh 0.0000 0.0000 0.0000
```

Most intense lines, 2θ = 5–70°, in order of rising 2θ:
| h k l | 2θ (°) | I_rel |
| --- | --- | --- |
| 1 1 0 | 12.81 | 1 |
| 2 0 0 | 18.16 | 1 |
| 2 2 0 | 25.79 | 1 |
| 1 0 1 | 28.22 | 1 |
| 3 1 0 | 28.90 | 1 |
| 2 1 1 | 33.76 | 1 |
| 3 0 1 | 38.60 | 100 |
| 3 3 0 | 39.12 | 48 |
| 0 0 2 | 54.94 | 9 |
| 6 0 0 | 56.52 | 17 |
| 3 3 2 | 69.50 | 18 |